This entry pairs a crystal structure of Sm3Ga9Pd2 with its simulated powder XRD pattern. Radiation: Cu Kα (weighted mean of Kα1 and Kα2). Structure: a DFT-relaxed cell (GGA-PBE, OQMD).
Neutral-atom scattering factors, no anomalous dispersion.

Principal peaks in the range 10 to 80 degrees two-theta, most intense first:
| d (Å) | I (rel.) | index |
| --- | --- | --- |
| 2.564 | 100 | 1 2 3 |
| 2.139 | 31 | 2 0 0 |
| 2.618 | 24 | 1 3 0 |
| 2.598 | 21 | 0 3 3 |
| 2.096 | 18 | 0 0 6 |
| 1.498 | 15 | 2 0 6 |
| 2.417 | 13 | 1 3 2 |
| 1.448 | 12 | 1 6 3 |
| 1.303 | 12 | 3 2 3 |
| 2.995 | 11 | 1 0 3 |
| 2.169 | 11 | 1 0 5 |
| 1.651 | 11 | 2 3 3 |

Structural model:
abc: 4.279 9.928 12.579
angles: 90.00 90.00 90.00
Space group Immm (No. 71)
Symmetry-distinct sites (fractional):
Sm  0.000  0.000  0.000 [2 per cell]
Sm  0.000  0.000  0.318 [4 per cell]
Ga  0.000  0.276  0.131 [8 per cell]
Ga  0.000  0.371  0.334 [8 per cell]
Ga  0.000  0.500  0.000 [2 per cell]
Pd  0.000  0.220  0.500 [4 per cell]



This entry pairs a crystal structure of SrGa4Pd6 with its simulated powder XRD pattern. Radiation: Cu Kα (weighted mean of Kα1 and Kα2). Structure: a DFT-relaxed cell (GGA-PBE, OQMD).
Neutral-atom scattering factors, no anomalous dispersion.

Principal peaks in the range 10 to 80 degrees two-theta, most intense first:
| d (Å) | I (rel.) | index |
| --- | --- | --- |
| 2.500 | 100 | 2 0 1 |
| 2.072 | 56 | 2 1 1 |
| 2.425 | 32 | 2 1 0 |
| 1.994 | 28 | 0 0 2 |
| 1.852 | 23 | 2 2 0 |
| 6.417 | 17 | 1 0 0 |
| 1.222 | 16 | 5 0 1 |
| 1.357 | 16 | 2 2 2 |
| 2.714 | 16 | 1 1 1 |
| 1.540 | 15 | 2 1 2 |
| 2.139 | 14 | 3 0 0 |
| 1.885 | 12 | 3 0 1 |

Structural model:
abc: 7.4099 7.4099 3.9870
angles: 90.00 90.00 120.00
Space group P-6m2 (No. 187)
Symmetry-distinct sites (fractional):
Sr  0.0000  0.0000  0.0000 [1 per cell]
Ga  0.2016  0.4031  0.5000 [3 per cell]
Ga  0.6667  0.3333  0.0000 [1 per cell]
Pd  0.0666  0.5333  0.0000 [3 per cell]
Pd  0.4027  0.2013  0.5000 [3 per cell]